No. 1
The following is a computed XRD peak list of Pm2Mg5Cd12. It was derived from the GGA-PBE geometry in Alexandria, using a wavelength of 1.5418 Å.

Cell and atoms:
Unit cell a=10.0225 b=10.0225 c=14.9785 alpha=90.00 beta=90.00 gamma=120.00
Space group R-3m (No. 166, hexagonal axes)
Asymmetric unit:
Pm1 0.0000 0.0000 0.1673 x6
Mg1 0.0000 0.0000 0.3986 x6
Mg2 0.0000 0.5000 0.0000 x9
Cd1 0.0000 0.2952 0.5000 x18
Cd2 0.0071 0.5035 0.6460 x18

The 10 most intense peaks (2θ from 15° to 90°), sorted by position:
2theta	intensity	h k l
17.72	14.2	0 0 3
23.69	14.7	2 0 2
30.91	21.6	3 0 0
31.56	34.6	0 2 4
35.87	100.0	0 3 3
35.98	24.7	0 0 6
40.28	27.8	2 2 3
58.24	12.1	3 3 3
64.60	11.9	0 3 9
76.01	12.9	4 4 0

No. 2
The following is a computed XRD peak list of Cs3PuS3. It was derived from the GGA-PBE geometry in Alexandria, using a wavelength of 1.5418 Å.

Cell and atoms:
Unit cell a=9.576 b=14.690 c=8.611 alpha=90.00 beta=100.46 gamma=90.00
Space group C2/m (No. 12)
Asymmetric unit:
Cs1 0.000 0.183 0.000 x4
Cs2 0.000 0.250 0.500 x4
Cs3 0.126 0.500 0.861 x4
Pu1 0.181 0.000 0.639 x4
S1 0.089 0.000 0.323 x4
S2 0.192 0.356 0.227 x8

The 10 most intense peaks (2θ from 15° to 90°), sorted by position:
2theta	intensity	h k l
22.22	100.0	1 1 -2
22.43	65.3	2 2 0
23.79	28.5	1 3 1
24.25	86.1	0 4 0
26.24	47.6	2 2 1
29.13	54.8	3 1 -1
30.70	55.7	1 3 2
33.93	35.2	3 3 0
42.19	40.5	3 5 -1
44.54	30.6	0 2 4

No. 3
The following is a computed XRD peak list of LaSm3Dy8. It was derived from the GGA-PBE geometry in Alexandria, using a wavelength of 1.5418 Å.

Cell and atoms:
Unit cell a=6.417 b=11.462 c=11.470 alpha=90.00 beta=90.00 gamma=90.00
Space group Immm (No. 71)
Asymmetric unit:
La1 0.000 0.000 0.000 x2
Sm1 0.000 0.000 0.500 x2
Sm2 0.000 0.500 0.246 x4
Dy1 0.000 0.172 0.251 x8
Dy2 0.248 0.254 0.000 x8

The 10 most intense peaks (2θ from 15° to 90°), sorted by position:
2theta	intensity	h k l
27.16	20.4	1 3 0
31.20	75.4	0 0 4
31.40	100.0	1 3 2
31.96	77.1	2 0 2
35.00	22.9	0 4 2
35.69	46.0	2 2 2
45.27	22.4	2 2 4
51.49	24.9	3 3 2
56.01	33.0	2 6 0
65.53	28.9	2 6 4

No. 4
The following is a computed XRD peak list of Nd2Mn2CuSi3. It was derived from the GGA-PBE geometry in Alexandria, using a wavelength of 1.5418 Å.

Cell and atoms:
Unit cell a=3.973 b=4.139 c=17.938 alpha=90.00 beta=90.00 gamma=90.00
Space group Amm2 (No. 38)
Asymmetric unit:
Nd1 0.000 0.000 0.000 x2
Nd2 0.500 0.000 0.200 x2
Mn1 0.000 0.000 0.348 x2
Mn2 0.500 0.000 0.850 x2
Cu1 0.500 0.000 0.434 x2
Si1 0.000 0.000 0.637 x2
Si2 0.000 0.000 0.774 x2
Si3 0.500 0.000 0.564 x2

The 10 most intense peaks (2θ from 15° to 90°), sorted by position:
2theta	intensity	h k l
24.51	18.2	1 0 2
30.05	18.9	1 0 4
31.61	17.8	1 1 1
33.04	42.7	0 1 5
34.71	100.0	1 1 3
43.74	22.4	0 2 0
45.68	19.7	2 0 0
46.51	19.8	1 0 8
50.82	17.7	0 1 9
57.52	17.2	2 1 5

No. 5
The following is a computed XRD peak list of ErPa3. It was derived from the GGA-PBE geometry in Alexandria, using a wavelength of 1.5418 Å.

Cell and atoms:
Unit cell a=4.696 b=4.696 c=4.696 alpha=90.00 beta=90.00 gamma=90.00
Space group Pm-3m (No. 221)
Asymmetric unit:
Er1 0.000 0.000 0.000 x1
Pa1 0.000 0.500 0.500 x3

The 10 most intense peaks (2θ from 15° to 90°), sorted by position:
2theta	intensity	h k l
18.90	1.4	1 0 0
26.85	1.3	1 1 0
33.04	100.0	1 1 1
38.34	50.5	2 0 0
43.07	0.8	2 1 0
47.42	0.6	2 1 1
55.33	35.7	2 2 0
65.98	42.5	3 1 1
69.32	12.3	2 2 2
82.09	5.9	4 0 0

No. 6
The following is a computed XRD peak list of Ac3IrSe2. It was derived from the GGA-PBE geometry in Alexandria, using a wavelength of 1.5418 Å.

Cell and atoms:
Unit cell a=9.112 b=12.731 c=26.451 alpha=90.00 beta=90.00 gamma=90.00
Space group Fddd (No. 70, origin choice 2)
Asymmetric unit:
Ac1 0.101 0.375 0.375 x16
Ac2 0.114 0.364 0.213 x32
Ir1 0.125 0.125 0.041 x16
Se1 0.125 0.125 0.378 x16
Se2 0.125 0.125 0.545 x16

The 10 most intense peaks (2θ from 15° to 90°), sorted by position:
2theta	intensity	h k l
24.56	12.8	0 2 6
28.04	51.3	0 4 0
28.17	100.0	2 0 6
39.56	19.0	4 0 0
40.16	75.9	2 4 6
40.94	18.1	0 0 12
49.19	19.9	4 4 0
50.36	20.9	0 4 12
65.66	16.5	2 8 6
65.86	16.5	4 4 12

No. 7
The following is a computed XRD peak list of CaZr2ScN4. It was derived from the GGA-PBE geometry in Alexandria, using a wavelength of 1.5418 Å.

Cell and atoms:
Unit cell a=6.553 b=6.618 c=9.312 alpha=90.00 beta=90.00 gamma=90.00
Space group Imma (No. 74)
Asymmetric unit:
Ca1 0.250 0.250 0.250 x4
Zr1 0.000 0.000 0.000 x4
Zr2 0.250 0.250 0.750 x4
Sc1 0.000 0.000 0.500 x4
N1 0.000 0.018 0.752 x8
N2 0.248 0.250 0.993 x8

The 10 most intense peaks (2θ from 15° to 90°), sorted by position:
2theta	intensity	h k l
16.43	16.7	0 1 1
16.54	12.6	1 0 1
33.22	46.6	0 2 2
33.44	45.5	2 0 2
38.67	100.0	2 2 0
55.54	10.4	0 4 0
55.85	41.1	2 2 4
56.14	10.2	4 0 0
66.41	12.9	2 4 2
66.81	12.5	4 2 2

No. 8
The following is a computed XRD peak list of ReN2. It was derived from the GGA-PBE geometry in Alexandria, using a wavelength of 1.5418 Å.

Cell and atoms:
Unit cell a=2.917 b=4.956 c=7.867 alpha=90.00 beta=90.00 gamma=90.00
Space group Pbcm (No. 57)
Asymmetric unit:
Re1 0.203 0.250 0.000 x4
N1 0.292 0.581 0.163 x8

The 10 most intense peaks (2θ from 15° to 90°), sorted by position:
2theta	intensity	h k l
22.61	100.0	0 0 2
35.71	58.1	1 1 0
36.25	30.2	0 2 0
42.68	88.0	1 1 2
43.15	46.9	0 2 2
46.16	15.6	0 0 4
59.69	33.1	1 1 4
60.06	17.9	0 2 4
64.87	14.9	1 3 0
69.64	17.9	1 3 2

No. 9
The following is a computed XRD peak list of Rb2HfZr2Te6. It was derived from the GGA-PBE geometry in Alexandria, using a wavelength of 1.5418 Å.

Cell and atoms:
Unit cell a=7.075 b=12.268 c=9.301 alpha=90.00 beta=105.10 gamma=90.00
Space group C2/m (No. 12)
Asymmetric unit:
Rb1 0.000 0.167 0.000 x4
Hf1 0.000 0.000 0.500 x2
Zr1 0.000 0.331 0.500 x4
Te1 0.233 0.500 0.693 x4
Te2 0.234 0.163 0.696 x8

The 10 most intense peaks (2θ from 15° to 90°), sorted by position:
2theta	intensity	h k l
28.42	49.7	2 0 -2
28.52	100.0	1 3 1
34.31	11.5	2 0 -3
34.48	21.6	1 3 2
36.77	33.2	1 3 -3
36.99	17.0	2 0 2
44.33	50.1	3 3 -1
44.93	16.1	1 3 -4
53.47	16.6	2 6 -2
71.86	10.0	5 3 -3

No. 10
The following is a computed XRD peak list of KAg2PdBr6. It was derived from the GGA-PBE geometry in Alexandria, using a wavelength of 1.5418 Å.

Cell and atoms:
Unit cell a=7.072 b=7.229 c=7.592 alpha=89.77 beta=62.94 gamma=65.32
Space group P1 (No. 1)
Asymmetric unit:
K1 0.000 0.000 0.000 x1
Ag1 0.570 0.183 0.592 x1
Ag2 0.583 0.726 0.143 x1
Pd1 0.970 0.507 0.544 x1
Br1 0.102 0.542 0.794 x1
Br2 0.146 0.723 0.327 x1
Br3 0.423 0.134 0.332 x1
Br4 0.562 0.869 0.797 x1
Br5 0.769 0.311 0.763 x1
Br6 0.814 0.453 0.318 x1

The 10 most intense peaks (2θ from 15° to 90°), sorted by position:
2theta	intensity	h k l
15.47	44.2	1 1 0
21.49	49.1	0 1 1
23.54	63.0	1 1 -1
25.65	69.7	1 -1 0
29.10	100.0	1 2 -1
34.04	65.1	-1 1 1
37.98	57.8	2 1 3
41.43	48.6	0 3 -1
42.33	48.8	3 0 2
47.16	42.3	1 2 3

No. 11
The following is a computed XRD peak list of CdPt5Rh2. It was derived from the GGA-PBE geometry in Alexandria, using a wavelength of 1.5418 Å.

Cell and atoms:
Unit cell a=17.657 b=6.805 c=8.963 alpha=90.00 beta=104.33 gamma=90.00
Space group C2/c (No. 15)
Asymmetric unit:
Cd1 0.124 0.036 0.170 x8
Pt1 0.021 0.329 0.928 x8
Pt2 0.041 0.078 0.396 x8
Pt3 0.136 0.358 0.574 x8
Pt4 0.173 0.303 0.917 x8
Pt5 0.226 0.355 0.239 x8
Rh1 0.075 0.409 0.258 x8
Rh2 0.217 0.078 0.459 x8

The 10 most intense peaks (2θ from 15° to 90°), sorted by position:
2theta	intensity	h k l
35.26	29.3	1 1 3
38.07	44.1	7 1 -1
39.85	31.7	7 1 -2
40.10	30.2	1 3 0
40.61	84.7	6 2 -1
40.93	100.0	0 2 3
41.14	30.5	1 3 -1
41.99	53.8	6 0 2
42.80	20.5	1 1 -4
45.84	27.9	6 0 -4

No. 12
The following is a computed XRD peak list of CdIn4I6. It was derived from the GGA-PBE geometry in Alexandria, using a wavelength of 1.5418 Å.

Cell and atoms:
Unit cell a=9.157 b=9.157 c=9.948 alpha=90.00 beta=90.00 gamma=90.00
Space group P4/mnc (No. 128)
Asymmetric unit:
Cd1 0.000 0.000 0.000 x2
In1 0.149 0.351 0.250 x8
I1 0.000 0.000 0.292 x4
I2 0.146 0.693 0.000 x8

The 10 most intense peaks (2θ from 15° to 90°), sorted by position:
2theta	intensity	h k l
27.55	13.1	2 2 0
28.23	100.0	2 1 2
28.63	11.9	1 0 3
30.88	54.7	3 1 0
36.12	18.4	0 0 4
44.23	11.3	4 2 0
44.69	15.0	4 1 2
48.24	22.4	3 1 4
57.26	11.3	5 2 2
60.22	11.3	2 1 6